1.
For NdNi3Ge, a cell relaxed with PBE gives the simulated X-ray diffraction stick pattern in this record (Cu Kα (weighted mean of Kα1 and Kα2)).
Intensities are scaled so that the largest is 100.

Structural model:
```
NdNi3Ge
1.0
5.7597 0.0000 0.0000
-2.8798 4.9880 0.0000
0.0000 0.0000 11.6751
Nd Ni Ge
4 12 4
Direct
0.0000 0.0000 0.0000 Nd
0.0000 0.0000 0.5000 Nd
0.3333 0.6667 0.2500 Nd
0.6667 0.3333 0.7500 Nd
0.0000 0.5000 0.0000 Ni
0.0000 0.5000 0.5000 Ni
0.1359 0.2718 0.7500 Ni
0.1359 0.8641 0.7500 Ni
0.2718 0.1359 0.2500 Ni
0.5000 0.0000 0.0000 Ni
0.5000 0.0000 0.5000 Ni
0.5000 0.5000 0.0000 Ni
0.5000 0.5000 0.5000 Ni
0.7282 0.8641 0.7500 Ni
0.8641 0.1359 0.2500 Ni
0.8641 0.7282 0.2500 Ni
0.3333 0.6667 0.6372 Ge
0.3333 0.6667 0.8628 Ge
0.6667 0.3333 0.1372 Ge
0.6667 0.3333 0.3628 Ge
```

The 10 most intense peaks (10° ≤ 2θ ≤ 90°), by angle:
| d_spacing | I_rel | (hkl) |
| --- | --- | --- |
| 3.068 | 23 | 1 0 3 |
| 2.919 | 37 | 0 0 4 |
| 2.880 | 41 | 1 1 0 |
| 2.293 | 100 | 2 0 2 |
| 2.100 | 35 | 2 0 3 |
| 1.896 | 15 | 2 0 4 |
| 1.794 | 17 | 2 1 2 |
| 1.705 | 24 | 2 0 5 |
| 1.534 | 22 | 2 0 6 |
| 1.440 | 24 | 2 2 0 |

2.
For Sr3In5Hg6, a cell relaxed with PBE gives the simulated X-ray diffraction stick pattern in this record (Cu Kα (weighted mean of Kα1 and Kα2)).
Intensities are scaled so that the largest is 100.

Structural model:
```
Sr3In5Hg6
1.0
5.0450 0.0000 0.0000
0.0000 14.5152 0.0000
0.0000 0.0000 10.6669
Sr In Hg
6 10 12
Direct
0.2500 0.0497 0.2475 Sr
0.2500 0.4503 0.2475 Sr
0.2500 0.7500 0.2430 Sr
0.7500 0.2500 0.7570 Sr
0.7500 0.5497 0.7525 Sr
0.7500 0.9503 0.7525 Sr
0.2500 0.0955 0.8869 In
0.2500 0.4045 0.8869 In
0.2500 0.6100 0.5269 In
0.2500 0.7500 0.7579 In
0.2500 0.8900 0.5269 In
0.7500 0.1100 0.4731 In
0.7500 0.2500 0.2421 In
0.7500 0.3900 0.4731 In
0.7500 0.5955 0.1131 In
0.7500 0.9045 0.1131 In
0.2500 0.0902 0.6170 Hg
0.2500 0.2500 0.0721 Hg
0.2500 0.2500 0.4282 Hg
0.2500 0.4098 0.6170 Hg
0.2500 0.6010 0.9722 Hg
0.2500 0.8990 0.9722 Hg
0.7500 0.1010 0.0278 Hg
0.7500 0.3990 0.0278 Hg
0.7500 0.5902 0.3830 Hg
0.7500 0.7500 0.5718 Hg
0.7500 0.7500 0.9279 Hg
0.7500 0.9098 0.3830 Hg
```

The 10 most intense peaks (10° ≤ 2θ ≤ 90°), by angle:
| d_spacing | I_rel | (hkl) |
| --- | --- | --- |
| 5.333 | 26 | 0 0 2 |
| 2.922 | 100 | 1 3 2 |
| 2.840 | 27 | 1 4 1 |
| 2.698 | 51 | 1 2 3 |
| 2.522 | 73 | 2 0 0 |
| 2.419 | 38 | 0 6 0 |
| 2.327 | 36 | 1 1 4 |
| 2.268 | 42 | 1 4 3 |
| 1.746 | 28 | 2 6 0 |
| 1.557 | 26 | 1 7 4 |